Record 1
Calculated powder diffractogram
Compound: Pm6Dy2Er
Radiation: Cu Kα, 1.54184 Å
Structure: the GGA-PBE geometry in Alexandria
Lines closer than 0.1° are merged.

Structure:
Cell: 9.378 17.639 3.649 Å, 90.00 90.00 90.00°
Space group Cmmm (No. 65)
One atom of each set of equivalent atoms:
Pm: 0.176 0.165 0.000
Pm: 0.185 0.000 0.500
Dy: 0.000 0.323 0.500
Er: 0.000 0.500 0.000

The 10 most intense peaks (5 to 70 degrees two-theta), by angle:
2θ (°), I/Imax, hkl
29.01, 366, 3 1 0
30.38, 1000, 0 6 0
32.71, 368, 2 2 1
37.29, 198, 2 4 1
38.47, 208, 3 5 0
52.25, 116, 2 8 1
54.00, 111, 1 9 1
57.42, 190, 5 3 1
58.83, 100, 3 1 2
59.64, 112, 0 6 2

Record 2
Calculated powder diffractogram
Compound: Er4Sc5In
Radiation: Cu Kα, 1.54184 Å
Structure: the GGA-PBE geometry in Alexandria
Lines closer than 0.1° are merged.

Structure:
Cell: 10.074 10.074 5.489 Å, 90.00 90.00 90.00°
Space group I4mm (No. 107)
One atom of each set of equivalent atoms:
Er: 0.000 0.314 0.000
Sc: 0.000 0.000 0.769
Sc: 0.185 0.185 0.494
In: 0.000 0.000 0.256

The 10 most intense peaks (5 to 70 degrees two-theta), by angle:
2θ (°), I/Imax, hkl
25.58, 495, 2 1 1
28.01, 150, 3 1 0
31.22, 1000, 3 0 1
32.63, 156, 0 0 2
35.04, 171, 1 1 2
37.89, 395, 3 3 0
41.54, 199, 2 2 2
57.35, 173, 3 0 3
57.47, 148, 5 1 2
64.31, 179, 6 3 1

Record 3
Calculated powder diffractogram
Compound: Cs3KAu
Radiation: Cu Kα, 1.54184 Å
Structure: the GGA-PBE geometry in Alexandria
Lines closer than 0.1° are merged.

Structure:
Cell: 11.0950 11.0950 20.4637 Å, 90.00 90.00 120.00°
Space group R3c (No. 161, hexagonal axes)
One atom of each set of equivalent atoms:
Cs: 0.1315 0.3716 0.0000
K: 0.0000 0.0000 0.1265
Au: 0.0000 0.0000 0.4516

The 10 most intense peaks (5 to 70 degrees two-theta), by angle:
2θ (°), I/Imax, hkl
12.64, 1000, 0 1 2
20.42, 224, 2 0 2
20.64, 270, 1 1 3
25.43, 688, 0 2 4
26.06, 693, 0 0 6
30.18, 216, 2 1 4
30.77, 315, 1 1 6
32.27, 285, 2 2 0
45.26, 205, 4 1 3
51.13, 231, 1 4 6

Record 4
Calculated powder diffractogram
Compound: Pa2Si6RuRh
Radiation: Cu Kα, 1.54184 Å
Structure: the GGA-PBE geometry in Alexandria
Lines closer than 0.1° are merged.

Structure:
Cell: 5.8351 5.8351 37.0806 Å, 90.00 90.00 120.00°
Space group R-3m (No. 166, hexagonal axes)
One atom of each set of equivalent atoms:
Pa: 0.0000 0.0000 0.1279
Pa: 0.0000 0.0000 0.2792
Si: 0.0541 0.5271 0.7200
Si: 0.0633 0.5316 0.8716
Ru: 0.0000 0.0000 0.4235
Rh: 0.0000 0.0000 0.0000
Rh: 0.0000 0.0000 0.5000

The 10 most intense peaks (5 to 70 degrees two-theta), by angle:
2θ (°), I/Imax, hkl
21.28, 233, 0 1 5
24.34, 820, 1 0 7
30.64, 1000, 1 1 0
36.16, 240, 1 0 13
38.37, 278, 0 1 14
39.52, 516, 0 2 7
49.88, 191, 2 0 14
50.82, 305, 2 1 7
54.48, 214, 3 0 0
63.80, 191, 2 2 0

Record 5
Calculated powder diffractogram
Compound: KThPtO4
Radiation: Cu Kα, 1.54184 Å
Structure: the GGA-PBE geometry in Alexandria
Lines closer than 0.1° are merged.

Structure:
Cell: 6.216 7.197 11.752 Å, 90.00 90.00 90.00°
Space group Imma (No. 74)
One atom of each set of equivalent atoms:
K: 0.000 0.250 0.178
Th: 0.000 0.000 0.500
Pt: 0.250 0.250 0.750
O: 0.000 0.080 0.713
O: 0.212 0.250 0.471

The 10 most intense peaks (5 to 70 degrees two-theta), by angle:
2θ (°), I/Imax, hkl
14.43, 698, 0 1 1
16.13, 1000, 1 0 1
26.90, 381, 1 0 3
29.10, 774, 0 2 2
29.68, 545, 1 2 1
30.42, 461, 0 0 4
32.59, 415, 2 0 2
38.27, 474, 2 2 0
48.54, 334, 1 2 5
49.65, 489, 2 2 4

Record 6
Calculated powder diffractogram
Compound: CrSbCl2
Radiation: Cu Kα, 1.54184 Å
Structure: the GGA-PBE geometry in Alexandria
Lines closer than 0.1° are merged.

Structure:
Cell: 3.279 6.158 12.012 Å, 90.00 90.00 90.00°
Space group Cmmm (No. 65)
One atom of each set of equivalent atoms:
Cr: 0.000 0.000 0.000
Sb: 0.000 0.000 0.500
Cl: 0.000 0.500 0.138

The 10 most intense peaks (5 to 70 degrees two-theta), by angle:
2θ (°), I/Imax, hkl
14.75, 1000, 0 0 2
22.20, 248, 0 0 3
29.00, 457, 0 2 0
30.89, 131, 1 1 0
31.80, 296, 1 1 1
32.69, 286, 0 2 2
34.39, 652, 1 1 2
43.42, 550, 1 1 4
54.94, 160, 1 3 2
61.61, 181, 1 3 4

Record 7
Calculated powder diffractogram
Compound: RbCrGaSe4
Radiation: Cu Kα, 1.54184 Å
Structure: the GGA-PBE geometry in Alexandria
Lines closer than 0.1° are merged.

Structure:
Cell: 6.589 6.890 8.665 Å, 90.00 93.25 90.00°
Space group P2_1/m (No. 11)
One atom of each set of equivalent atoms:
Rb: 0.235 0.250 0.059
Cr: 0.163 0.750 0.462
Ga: 0.351 0.250 0.642
Se: 0.083 0.002 0.673
Se: 0.336 0.750 0.201
Se: 0.495 0.750 0.599

The 10 most intense peaks (5 to 70 degrees two-theta), by angle:
2θ (°), I/Imax, hkl
10.23, 1000, 0 0 1
25.27, 371, 1 0 2
25.86, 301, 0 2 0
28.47, 569, 2 0 -1
29.26, 671, 1 2 0
30.81, 532, 1 2 -1
32.38, 276, 2 1 1
35.75, 440, 1 1 -3
42.60, 258, 2 2 -2
53.17, 242, 0 4 0

Record 8
Calculated powder diffractogram
Compound: KRhSe2O6
Radiation: Cu Kα, 1.54184 Å
Structure: the GGA-PBE geometry in Alexandria
Lines closer than 0.1° are merged.

Structure:
Cell: 5.2761 5.2761 19.5453 Å, 90.00 90.00 120.00°
Space group R-3 (No. 148, hexagonal axes)
One atom of each set of equivalent atoms:
K: 0.0000 0.0000 0.0000
Rh: 0.0000 0.0000 0.5000
Se: 0.0000 0.0000 0.2578
O: 0.9998 0.3779 0.1038

The 10 most intense peaks (5 to 70 degrees two-theta), by angle:
2θ (°), I/Imax, hkl
13.59, 109, 0 0 3
19.96, 145, 1 0 1
26.71, 1000, 1 0 4
33.98, 350, 1 1 0
41.93, 236, 0 1 8
43.74, 190, 0 2 4
55.03, 120, 2 0 8
56.51, 244, 2 1 4
60.82, 125, 3 0 0
66.28, 123, 3 -2 8

Record 9
Calculated powder diffractogram
Compound: TbEuCdCu
Radiation: Cu Kα, 1.54184 Å
Structure: the GGA-PBE geometry in Alexandria
Lines closer than 0.1° are merged.

Structure:
Cell: 7.416 7.416 7.416 Å, 90.00 90.00 90.00°
Space group F-43m (No. 216)
One atom of each set of equivalent atoms:
Tb: 0.000 0.000 0.000
Eu: 0.000 0.000 0.500
Cd: 0.250 0.250 0.750
Cu: 0.250 0.250 0.250

The 8 most intense peaks (5 to 70 degrees two-theta), by angle:
2θ (°), I/Imax, hkl
20.74, 20, 1 1 1
24.00, 77, 2 0 0
34.20, 1000, 2 2 0
40.33, 11, 3 1 1
42.21, 25, 2 2 2
49.14, 177, 4 0 0
55.40, 35, 4 2 0
61.23, 361, 4 2 2

Record 10
Calculated powder diffractogram
Compound: Dy12Y2Ho5
Radiation: Cu Kα, 1.54184 Å
Structure: the GGA-PBE geometry in Alexandria
Lines closer than 0.1° are merged.

Structure:
Cell: 6.479 8.801 11.350 Å, 71.37 89.53 81.86°
Space group P-1 (No. 2)
One atom of each set of equivalent atoms:
Dy: 0.053 0.346 0.269
Dy: 0.055 0.859 0.927
Dy: 0.146 0.246 0.776
Dy: 0.315 0.928 0.316
Dy: 0.374 0.632 0.205
Dy: 0.427 0.757 0.726
Y: 0.185 0.112 0.543
Ho: 0.240 0.544 0.509
Ho: 0.268 0.440 0.990
Ho: 0.500 0.000 0.000

The 10 most intense peaks (5 to 70 degrees two-theta), by angle:
2θ (°), I/Imax, hkl
30.25, 245, 2 1 -1
30.79, 356, 1 -2 1
31.29, 582, 0 2 -2
31.41, 500, 2 -1 0
31.53, 296, 0 1 4
31.69, 1000, -1 2 3
32.01, 613, 1 3 1
33.35, 321, 0 0 4
34.21, 515, 2 1 -2
62.25, 206, 1 -4 3

Record 11
Calculated powder diffractogram
Compound: Hf8SbH6
Radiation: Cu Kα, 1.54184 Å
Structure: the GGA-PBE geometry in Alexandria
Lines closer than 0.1° are merged.

Structure:
Cell: 8.8877 8.8877 9.3564 Å, 90.00 90.00 120.00°
Space group R-3 (No. 148, hexagonal axes)
One atom of each set of equivalent atoms:
Hf: 0.0000 0.0000 0.1774
Hf: 0.0007 0.6692 0.9324
Sb: 0.0000 0.0000 0.5000
H: 0.0763 0.2376 0.9049

The 10 most intense peaks (5 to 70 degrees two-theta), by angle:
2θ (°), I/Imax, hkl
14.90, 7, 1 0 1
22.24, 10, 0 1 2
34.97, 1000, 3 0 0
35.15, 971, 1 1 3
36.37, 8, 1 2 2
45.80, 10, 0 3 3
50.43, 354, 4 -2 3
62.72, 187, 3 3 0
62.84, 366, 4 1 3
63.19, 163, 2 -1 6

Record 12
Calculated powder diffractogram
Compound: Pm7NdMg2
Radiation: Cu Kα, 1.54184 Å
Structure: the GGA-PBE geometry in Alexandria
Lines closer than 0.1° are merged.

Structure:
Cell: 8.862 3.416 11.689 Å, 90.00 111.05 90.00°
Space group P2/m (No. 10)
One atom of each set of equivalent atoms:
Pm: 0.000 0.000 0.000
Pm: 0.195 0.000 0.306
Pm: 0.219 0.000 0.810
Pm: 0.398 0.500 0.114
Nd: 0.000 0.500 0.500
Mg: 0.399 0.000 0.603

The 10 most intense peaks (5 to 70 degrees two-theta), by angle:
2θ (°), I/Imax, hkl
8.10, 243, 0 0 1
28.30, 208, 1 1 0
30.53, 318, 1 1 1
30.62, 1000, 3 0 -2
30.71, 262, 1 1 -2
31.49, 466, 2 0 2
34.04, 166, 2 1 0
37.30, 161, 2 1 -3
55.52, 217, 5 0 0
63.06, 254, 3 2 -2